# 1
Starting from a DFT-relaxed cell (PBE, the Materials Project), the X-ray powder pattern of Fe3S4 was simulated for Cu Kα (weighted mean of Kα1 and Kα2).
No peak broadening, texture or thermal motion is included.

Principal peaks in the range 2θ from 10° to 80°, sorted by position:
2θ = 16.2°, d 5.475, I 10.3; 2θ = 26.6°, d 3.353, I 28.1; 2θ = 31.3°, d 2.859, I 100.0; 2θ = 38.0°, d 2.371, I 52.6; 2θ = 46.9°, d 1.936, I 10.7; 2θ = 50.0°, d 1.825, I 39.4; 2θ = 54.8°, d 1.676, I 86.5; 2θ = 64.4°, d 1.446, I 10.8; 2θ = 68.6°, d 1.369, I 10.4; 2θ = 77.3°, d 1.235, I 16.5

Structure:
```
data_Fe3S4
_symmetry_space_group_name_H-M 'P 1'
_symmetry_Int_Tables_number 1
_cell_length_a 6.706
_cell_length_b 6.706
_cell_length_c 6.706
_cell_angle_alpha 60.00
_cell_angle_beta 60.00
_cell_angle_gamma 60.00
loop_
_symmetry_equiv_pos_as_xyz
'x,y,z'
loop_
_atom_site_label
_atom_site_fract_x
_atom_site_fract_y
_atom_site_fract_z
Fe1 0.000 0.000 0.000
Fe2 0.000 0.000 0.500
Fe3 0.000 0.500 0.000
Fe4 0.375 0.375 0.375
Fe5 0.500 0.000 0.000
Fe6 0.625 0.625 0.625
S1 0.235 0.755 0.755
S2 0.245 0.245 0.245
S3 0.245 0.245 0.765
S4 0.245 0.765 0.245
S5 0.755 0.235 0.755
S6 0.755 0.755 0.235
S7 0.755 0.755 0.755
S8 0.765 0.245 0.245
```

---

# 2
Starting from a DFT-relaxed cell (PBE, the Materials Project), the X-ray powder pattern of FeS was simulated for Cu Kα (weighted mean of Kα1 and Kα2).
No peak broadening, texture or thermal motion is included.

Principal peaks in the range 2θ from 10° to 80°, sorted by position:
2θ = 31.0°, d 2.889, I 88.8; 2θ = 31.7°, d 2.823, I 47.1; 2θ = 36.4°, d 2.469, I 52.6; 2θ = 37.5°, d 2.396, I 39.6; 2θ = 41.6°, d 2.173, I 37.2; 2θ = 44.7°, d 2.028, I 64.9; 2θ = 48.2°, d 1.889, I 100.0; 2θ = 50.5°, d 1.808, I 80.2; 2θ = 50.9°, d 1.792, I 49.6; 2θ = 56.0°, d 1.642, I 60.7

Structure:
```
data_FeS
_symmetry_space_group_name_H-M 'P 1'
_symmetry_Int_Tables_number 1
_cell_length_a 6.520
_cell_length_b 5.647
_cell_length_c 7.941
_cell_angle_alpha 90.00
_cell_angle_beta 91.09
_cell_angle_gamma 90.00
loop_
_symmetry_equiv_pos_as_xyz
'x,y,z'
loop_
_atom_site_label
_atom_site_fract_x
_atom_site_fract_y
_atom_site_fract_z
Fe1 0.041 0.226 0.076
Fe2 0.041 0.274 0.576
Fe3 0.326 0.708 0.789
Fe4 0.326 0.792 0.289
Fe5 0.409 0.199 0.438
Fe6 0.409 0.301 0.938
Fe7 0.591 0.699 0.062
Fe8 0.591 0.801 0.562
Fe9 0.674 0.208 0.711
Fe10 0.674 0.292 0.211
Fe11 0.959 0.726 0.424
Fe12 0.959 0.774 0.924
S1 0.093 0.073 0.339
S2 0.093 0.427 0.839
S3 0.258 0.586 0.524
S4 0.258 0.914 0.024
S5 0.369 0.067 0.690
S6 0.369 0.433 0.190
S7 0.631 0.567 0.810
S8 0.631 0.933 0.310
S9 0.742 0.086 0.976
S10 0.742 0.414 0.476
S11 0.907 0.573 0.161
S12 0.907 0.927 0.661
```

---

# 3
Starting from a DFT-relaxed cell (PBE, the Materials Project), the X-ray powder pattern of Fe7S8 was simulated for Cu Kα (weighted mean of Kα1 and Kα2).
No peak broadening, texture or thermal motion is included.

Principal peaks in the range 2θ from 10° to 80°, sorted by position:
2θ = 28.7°, d 3.109, I 23.8; 2θ = 31.0°, d 2.887, I 84.8; 2θ = 31.2°, d 2.870, I 45.9; 2θ = 35.5°, d 2.529, I 45.4; 2θ = 35.9°, d 2.500, I 85.2; 2θ = 47.2°, d 1.927, I 93.6; 2θ = 47.7°, d 1.908, I 100.0; 2θ = 47.9°, d 1.899, I 91.8; 2θ = 55.0°, d 1.670, I 37.4; 2θ = 55.3°, d 1.660, I 87.5

Structure:
```
data_Fe7S8
_symmetry_space_group_name_H-M 'P 1'
_symmetry_Int_Tables_number 1
_cell_length_a 5.740
_cell_length_b 6.151
_cell_length_c 11.172
_cell_angle_alpha 96.65
_cell_angle_beta 90.03
_cell_angle_gamma 90.01
loop_
_symmetry_equiv_pos_as_xyz
'x,y,z'
loop_
_atom_site_label
_atom_site_fract_x
_atom_site_fract_y
_atom_site_fract_z
Fe1 0.000 0.000 0.000
Fe2 0.002 0.848 0.627
Fe3 0.016 0.603 0.893
Fe4 0.026 0.740 0.268
Fe5 0.475 0.740 0.768
Fe6 0.482 0.602 0.392
Fe7 0.496 0.849 0.128
Fe8 0.499 0.000 0.500
Fe9 0.502 0.151 0.873
Fe10 0.517 0.398 0.608
Fe11 0.526 0.259 0.232
Fe12 0.974 0.258 0.733
Fe13 0.983 0.397 0.108
Fe14 0.998 0.151 0.373
S1 0.163 0.289 0.926
S2 0.167 0.554 0.684
S3 0.169 0.819 0.449
S4 0.172 0.068 0.189
S5 0.328 0.068 0.689
S6 0.330 0.818 0.949
S7 0.334 0.553 0.184
S8 0.338 0.289 0.426
S9 0.662 0.709 0.575
S10 0.664 0.445 0.815
S11 0.669 0.180 0.051
S12 0.672 0.932 0.312
S13 0.827 0.931 0.812
S14 0.830 0.181 0.552
S15 0.833 0.445 0.316
S16 0.836 0.711 0.074
```

---

# 4
Starting from a DFT-relaxed cell (PBE, the Materials Project), the X-ray powder pattern of FeSb2S4 was simulated for Cu Kα (weighted mean of Kα1 and Kα2).
No peak broadening, texture or thermal motion is included.

Principal peaks in the range 2θ from 10° to 80°, sorted by position:
2θ = 24.5°, d 3.631, I 100.0; 2θ = 25.0°, d 3.557, I 53.2; 2θ = 25.9°, d 3.435, I 35.0; 2θ = 28.9°, d 3.088, I 96.2; 2θ = 30.5°, d 2.935, I 38.5; 2θ = 32.1°, d 2.791, I 54.2; 2θ = 34.9°, d 2.568, I 60.4; 2θ = 35.3°, d 2.541, I 94.7; 2θ = 41.0°, d 2.200, I 39.9; 2θ = 50.2°, d 1.816, I 40.0

Structure:
```
data_FeSb2S4
_symmetry_space_group_name_H-M 'P 1'
_symmetry_Int_Tables_number 1
_cell_length_a 11.295
_cell_length_b 3.632
_cell_length_c 13.739
_cell_angle_alpha 90.00
_cell_angle_beta 90.00
_cell_angle_gamma 90.00
loop_
_symmetry_equiv_pos_as_xyz
'x,y,z'
loop_
_atom_site_label
_atom_site_fract_x
_atom_site_fract_y
_atom_site_fract_z
Fe1 0.170 0.250 0.163
Fe2 0.330 0.750 0.663
Fe3 0.670 0.250 0.337
Fe4 0.830 0.750 0.837
Sb1 0.034 0.250 0.611
Sb2 0.149 0.750 0.925
Sb3 0.351 0.250 0.425
Sb4 0.466 0.750 0.111
Sb5 0.534 0.250 0.889
Sb6 0.649 0.750 0.575
Sb7 0.851 0.250 0.075
Sb8 0.966 0.750 0.389
S1 0.061 0.750 0.102
S2 0.096 0.250 0.313
S3 0.216 0.250 0.719
S4 0.233 0.750 0.518
S5 0.267 0.250 0.018
S6 0.284 0.750 0.219
S7 0.404 0.750 0.813
S8 0.439 0.250 0.602
S9 0.561 0.750 0.398
S10 0.596 0.250 0.187
S11 0.716 0.250 0.781
S12 0.733 0.750 0.982
S13 0.767 0.250 0.482
S14 0.784 0.750 0.281
S15 0.904 0.750 0.687
S16 0.939 0.250 0.898
```

---

# 5
Starting from a DFT-relaxed cell (PBE, the Materials Project), the X-ray powder pattern of FeSbS was simulated for Cu Kα (weighted mean of Kα1 and Kα2).
No peak broadening, texture or thermal motion is included.

Principal peaks in the range 2θ from 10° to 80°, sorted by position:
2θ = 21.9°, d 4.067, I 36.1; 2θ = 32.0°, d 2.795, I 35.3; 2θ = 33.5°, d 2.678, I 36.6; 2θ = 34.3°, d 2.617, I 25.5; 2θ = 35.2°, d 2.553, I 92.2; 2θ = 35.5°, d 2.527, I 100.0; 2θ = 47.6°, d 1.909, I 32.1; 2θ = 47.8°, d 1.904, I 31.8; 2θ = 53.8°, d 1.703, I 33.3; 2θ = 57.1°, d 1.613, I 28.0

Structure:
```
data_FeSbS
_symmetry_space_group_name_H-M 'P 1'
_symmetry_Int_Tables_number 1
_cell_length_a 6.058
_cell_length_b 5.925
_cell_length_c 6.041
_cell_angle_alpha 90.00
_cell_angle_beta 112.53
_cell_angle_gamma 90.00
loop_
_symmetry_equiv_pos_as_xyz
'x,y,z'
loop_
_atom_site_label
_atom_site_fract_x
_atom_site_fract_y
_atom_site_fract_z
Fe1 0.198 0.018 0.197
Fe2 0.198 0.482 0.697
Fe3 0.802 0.518 0.303
Fe4 0.802 0.982 0.803
Sb1 0.353 0.633 0.131
Sb2 0.353 0.867 0.631
Sb3 0.647 0.133 0.369
Sb4 0.647 0.367 0.869
S1 0.142 0.140 0.830
S2 0.142 0.360 0.330
S3 0.858 0.640 0.670
S4 0.858 0.860 0.170
```

---

# 6
Starting from a DFT-relaxed cell (PBE, the Materials Project), the X-ray powder pattern of Sc2FeS4 was simulated for Cu Kα (weighted mean of Kα1 and Kα2).
No peak broadening, texture or thermal motion is included.

Principal peaks in the range 2θ from 10° to 80°, sorted by position:
2θ = 24.0°, d 3.715, I 36.0; 2θ = 28.2°, d 3.168, I 97.7; 2θ = 34.1°, d 2.627, I 51.9; 2θ = 42.1°, d 2.145, I 14.9; 2θ = 44.8°, d 2.022, I 38.9; 2θ = 49.0°, d 1.857, I 100.0; 2θ = 57.5°, d 1.602, I 11.3; 2θ = 61.1°, d 1.516, I 10.5; 2θ = 68.6°, d 1.368, I 17.5; 2θ = 71.9°, d 1.313, I 14.6

Structure:
```
data_Sc2FeS4
_symmetry_space_group_name_H-M 'P 1'
_symmetry_Int_Tables_number 1
_cell_length_a 7.429
_cell_length_b 7.429
_cell_length_c 7.429
_cell_angle_alpha 60.00
_cell_angle_beta 60.00
_cell_angle_gamma 60.00
loop_
_symmetry_equiv_pos_as_xyz
'x,y,z'
loop_
_atom_site_label
_atom_site_fract_x
_atom_site_fract_y
_atom_site_fract_z
Sc1 0.000 0.000 0.000
Sc2 0.000 0.000 0.500
Sc3 0.000 0.500 0.000
Sc4 0.500 0.000 0.000
Fe1 0.375 0.375 0.375
Fe2 0.625 0.625 0.625
S1 0.239 0.754 0.754
S2 0.246 0.246 0.246
S3 0.246 0.246 0.761
S4 0.246 0.761 0.246
S5 0.754 0.239 0.754
S6 0.754 0.754 0.239
S7 0.754 0.754 0.754
S8 0.761 0.246 0.246
```